Record 1
Computed X-ray diffraction stick pattern of CsThNpO6 for a wavelength of 1.5418 Å, from a crystal structure in Alexandria, relaxed with GGA-PBE.
Lines closer than 0.1° are merged.

Most intense lines, 10° ≤ 2θ ≤ 80°, sorted by position:
two_theta, Rel. int.
13.7, 38.1
14.3, 57.8
25.9, 100.0
27.0, 77.2
27.5, 92.5
27.8, 25.6
28.1, 46.4
28.8, 66.0
41.2, 27.3
43.8, 46.5
47.5, 72.6
55.6, 27.9

Atomic structure:
abc: 7.6947 7.6947 7.6947
angles: 120.10 115.05 94.30
Atoms (fractional coordinates):
Cs 0.3954 0.1454 0.2500
Cs 0.6046 0.8546 0.7500
Th 0.0000 0.0000 0.5000
Th 0.0000 0.5000 0.0000
Np 0.0000 0.5000 0.5000
Np 0.5000 0.5000 0.0000
O 0.1020 0.8520 0.2500
O 0.1436 0.4494 0.3340
O 0.1436 0.8096 0.6942
O 0.1735 0.4235 0.7500
O 0.3846 0.1904 0.8340
O 0.3846 0.5506 0.1942
O 0.6154 0.4494 0.8058
O 0.6154 0.8096 0.1660
O 0.8265 0.5765 0.2500
O 0.8564 0.1904 0.3058
O 0.8564 0.5506 0.6660
O 0.8980 0.1480 0.7500

Record 2
Computed X-ray diffraction stick pattern of Os2PtRh8 for a wavelength of 1.5418 Å, from a crystal structure in Alexandria, relaxed with GGA-PBE.
Lines closer than 0.1° are merged.

Most intense lines, 10° ≤ 2θ ≤ 80°, sorted by position:
two_theta, Rel. int.
25.9, 22.0
37.9, 6.5
40.6, 11.7
41.1, 100.0
44.0, 5.6
46.5, 20.1
46.7, 18.1
50.2, 11.5
68.1, 10.4
70.8, 8.2
71.0, 7.6
77.3, 4.8

Atomic structure:
abc: 7.1443 7.1443 7.1443
angles: 148.28 118.80 70.59
Atoms (fractional coordinates):
Os 0.1884 0.1884 0.0000
Os 0.8116 0.8116 0.0000
Pt 0.5000 0.5000 0.0000
Rh 0.0717 0.3408 0.7310
Rh 0.1954 0.0000 0.1954
Rh 0.3371 0.8371 0.5000
Rh 0.3902 0.6592 0.7310
Rh 0.6098 0.3408 0.2690
Rh 0.6629 0.1629 0.5000
Rh 0.8046 0.0000 0.8046
Rh 0.9283 0.6592 0.2690